The following is a computed X-ray powder pattern of La6Co13Sn. It was derived from a crystal structure in the Materials Project, relaxed with GGA-PBE, using Cu Ka.
Kinematic intensities with the Lorentz-polarization factor, no thermal factor.

Principal peaks in the range 2θ = 10–80°, low angle first:
| Position (°2θ) | I (rel.) |
| --- | --- |
| 27.3 | 82 |
| 31.5 | 66 |
| 32.2 | 45 |
| 35.2 | 100 |
| 38.4 | 47 |
| 43.4 | 59 |
| 46.6 | 44 |
| 67.8 | 35 |

Atomic structure:
```
40
Lattice="-4.0290 4.0290 11.5141 4.0290 -4.0290 11.5141 4.0290 4.0290 -11.5141" Properties=species:S:1:pos:R:3 pbc="T T T"
La 2.7239 -1.3051 4.1629
La 0.0000 0.0000 2.3113
La 5.3342 -1.3051 7.3511
La 5.3342 1.3051 4.1629
La 0.0000 0.0000 9.2027
La 2.7239 1.3051 7.3511
La 1.3051 2.7239 4.1629
La 0.0000 0.0000 13.8253
La -1.3051 2.7239 7.3511
La -1.3051 5.3342 4.1629
La 0.0000 0.0000 20.7168
La 1.3051 5.3342 7.3511
Co 4.0290 0.0000 0.0000
Co 3.1164 0.9126 -2.0357
Co 1.7269 0.5217 0.0000
Co 5.4509 1.4219 -1.2907
Co 3.1164 0.9126 2.0357
Co 3.5073 -2.3021 11.5141
Co 5.4509 1.4219 1.2907
Co 1.4219 2.6071 -1.2907
Co 3.5073 2.3021 0.0000
Co 3.1164 -0.9126 9.4783
Co 1.4219 2.6071 1.2907
Co 1.7269 -0.5217 11.5141
Co 3.1164 -0.9126 13.5498
Co 0.0000 4.0290 0.0000
Co 0.9126 4.9416 -2.0357
Co 2.3021 4.5507 0.0000
Co 2.6071 1.4219 10.2234
Co 0.9126 4.9416 2.0357
Co 0.5217 1.7269 11.5141
Co 2.6071 1.4219 12.8047
Co -1.4219 2.6071 10.2234
Co 0.5217 6.3311 0.0000
Co 0.9126 3.1164 9.4783
Co -1.4219 2.6071 12.8047
Co 2.3021 3.5073 11.5141
Co 0.9126 3.1164 13.5498
Sn 0.0000 0.0000 5.7570
Sn 0.0000 0.0000 17.2711
```